(1)
Diffraction record for Rb2NaInCl6. The X-ray powder pattern is calculated, not measured: it uses a DFT-relaxed cell (GGA-PBE, the Materials Project) and copper Kα.
Kinematic intensities with the Lorentz-polarization factor, no thermal factor.

Main lines, low angle first (10 to 90 degrees two-theta):
two_theta	d [Å]	I/Imax	h k l
14.46	6.124	42	1 1 1
23.73	3.750	100	2 2 0
29.17	3.062	43	2 2 2
33.80	2.652	96	4 0 0
41.72	2.165	45	4 2 2
48.55	1.875	63	4 4 0

Crystal structure
```
data_Rb2NaInCl6
_chemical_formula_sum 'Rb8 Na4 In4 Cl24'
_symmetry_space_group_name_H-M 'F m -3 m'
_symmetry_Int_Tables_number 225
_symmetry_space_group_name_Hall '-F 4 2 3'
_cell_length_a 10.607
_cell_length_b 10.607
_cell_length_c 10.607
_cell_angle_alpha 90.00
_cell_angle_beta 90.00
_cell_angle_gamma 90.00
loop_
_atom_site_label
_atom_site_type_symbol
_atom_site_fract_x
_atom_site_fract_y
_atom_site_fract_z
Rb1 Rb 0.250 0.250 0.250
Na1 Na 0.000 0.000 0.000
In1 In 0.000 0.000 0.500
Cl1 Cl 0.000 0.000 0.261
```

(2)
Diffraction record for Nb3In2Cl9. The X-ray powder pattern is calculated, not measured: it uses a DFT-relaxed cell (GGA-PBE, the Materials Project) and copper Kα.
Kinematic intensities with the Lorentz-polarization factor, no thermal factor.

Main lines, low angle first (10 to 90 degrees two-theta):
two_theta	d [Å]	I/Imax	h k l
10.79	8.202	73	1 1 0
11.68	7.580	100	1 1 -1
14.71	6.023	57	0 2 1
18.59	4.774	57	1 3 0
24.39	3.650	61	1 3 -2
33.17	2.701	87	2 4 1

Crystal structure
```
data_Nb3In2Cl9
_chemical_formula_sum 'Nb12 In8 Cl36'
_symmetry_space_group_name_H-M 'C 1 2/m 1'
_symmetry_Int_Tables_number 12
_cell_length_a 10.471
_cell_length_b 16.605
_cell_length_c 9.714
_cell_angle_alpha 90.00
_cell_angle_beta 115.73
_cell_angle_gamma 90.00
loop_
_symmetry_equiv_pos_as_xyz
'x,y,z'
'-x,-y,-z'
'-x,y,-z'
'x,-y,z'
'x+1/2,y+1/2,z'
'-x+1/2,-y+1/2,-z'
'-x+1/2,y+1/2,-z'
'x+1/2,-y+1/2,z'
loop_
_atom_site_label
_atom_site_type_symbol
_atom_site_fract_x
_atom_site_fract_y
_atom_site_fract_z
Nb1 Nb 0.115 0.000 0.370
Nb2 Nb 0.134 0.089 0.642
In1 In 0.112 0.339 0.829
Cl1 Cl 0.000 0.209 0.500
Cl2 Cl 0.021 0.105 0.818
Cl3 Cl 0.185 0.500 0.165
Cl4 Cl 0.194 0.299 0.176
Cl5 Cl 0.207 0.395 0.485
Cl6 Cl 0.238 0.500 0.790
```

(3)
Diffraction record for NdIn2Cl5. The X-ray powder pattern is calculated, not measured: it uses a DFT-relaxed cell (GGA-PBE, the Materials Project) and copper Kα.
Kinematic intensities with the Lorentz-polarization factor, no thermal factor.

Main lines, low angle first (10 to 90 degrees two-theta):
two_theta	d [Å]	I/Imax	h k l
23.05	3.858	100	3 0 1
23.88	3.727	82	1 2 1
24.32	3.659	54	2 2 0
30.49	2.932	53	1 2 2
32.76	2.734	59	2 2 2
41.55	2.173	50	5 2 1

Crystal structure
```
data_NdIn2Cl5
_chemical_formula_sum 'Nd4 In8 Cl20'
_symmetry_space_group_name_H-M 'P n m a'
_symmetry_Int_Tables_number 62
_cell_length_a 13.106
_cell_length_b 8.823
_cell_length_c 8.223
_cell_angle_alpha 90.00
_cell_angle_beta 90.00
_cell_angle_gamma 90.00
loop_
_symmetry_equiv_pos_as_xyz
'x,y,z'
'-x,-y,-z'
'-x+1/2,-y,z+1/2'
'x+1/2,y,-z+1/2'
'x+1/2,-y+1/2,-z+1/2'
'-x+1/2,y+1/2,z+1/2'
'-x,y+1/2,-z'
'x,-y+1/2,z'
loop_
_atom_site_label
_atom_site_type_symbol
_atom_site_fract_x
_atom_site_fract_y
_atom_site_fract_z
Nd1 Nd 0.005 0.250 0.075
In1 In 0.173 0.005 0.548
Cl1 Cl 0.008 0.250 0.417
Cl2 Cl 0.075 0.542 0.161
Cl3 Cl 0.179 0.250 0.881
Cl4 Cl 0.202 0.750 0.839
```

(4)
Diffraction record for PrIn2Cl5. The X-ray powder pattern is calculated, not measured: it uses a DFT-relaxed cell (GGA-PBE, the Materials Project) and copper Kα.
Kinematic intensities with the Lorentz-polarization factor, no thermal factor.

Main lines, low angle first (10 to 90 degrees two-theta):
two_theta	d [Å]	I/Imax	h k l
23.18	3.837	100	3 0 1
23.74	3.748	86	1 2 1
30.37	2.943	65	1 2 2
32.68	2.740	53	2 2 2
34.16	2.625	54	4 2 0
41.68	2.167	64	6 0 0

Crystal structure
```
data_PrIn2Cl5
_chemical_formula_sum 'Pr4 In8 Cl20'
_symmetry_space_group_name_H-M 'P n m a'
_symmetry_Int_Tables_number 62
_cell_length_a 13.009
_cell_length_b 8.896
_cell_length_c 8.234
_cell_angle_alpha 90.00
_cell_angle_beta 90.00
_cell_angle_gamma 90.00
loop_
_symmetry_equiv_pos_as_xyz
'x,y,z'
'-x,-y,-z'
'-x+1/2,-y,z+1/2'
'x+1/2,y,-z+1/2'
'x+1/2,-y+1/2,-z+1/2'
'-x+1/2,y+1/2,z+1/2'
'-x,y+1/2,-z'
'x,-y+1/2,z'
loop_
_atom_site_label
_atom_site_type_symbol
_atom_site_fract_x
_atom_site_fract_y
_atom_site_fract_z
Pr1 Pr 0.006 0.250 0.075
In1 In 0.170 0.009 0.558
Cl1 Cl 0.007 0.250 0.419
Cl2 Cl 0.071 0.544 0.168
Cl3 Cl 0.187 0.250 0.892
Cl4 Cl 0.205 0.750 0.846
```

(5)
Diffraction record for Rb3InCl6. The X-ray powder pattern is calculated, not measured: it uses a DFT-relaxed cell (GGA-PBE, the Materials Project) and copper Kα.
Kinematic intensities with the Lorentz-polarization factor, no thermal factor.

Main lines, low angle first (10 to 90 degrees two-theta):
two_theta	d [Å]	I/Imax	h k l
22.26	3.993	100	2 2 0
31.69	2.823	72	4 0 0
39.07	2.305	43	4 2 2
45.43	1.996	47	4 4 0
51.15	1.786	25	6 2 0
61.44	1.509	27	6 4 2

Crystal structure
```
data_Rb3InCl6
_chemical_formula_sum 'Rb12 In4 Cl24'
_symmetry_space_group_name_H-M 'F m -3 m'
_symmetry_Int_Tables_number 225
_symmetry_space_group_name_Hall '-F 4 2 3'
_cell_length_a 11.294
_cell_length_b 11.294
_cell_length_c 11.294
_cell_angle_alpha 90.00
_cell_angle_beta 90.00
_cell_angle_gamma 90.00
loop_
_atom_site_label
_atom_site_type_symbol
_atom_site_fract_x
_atom_site_fract_y
_atom_site_fract_z
Rb1 Rb 0.000 0.000 0.000
Rb2 Rb 0.250 0.250 0.250
In1 In 0.000 0.000 0.500
Cl1 Cl 0.000 0.000 0.275
```

(6)
Diffraction record for RbInCl3. The X-ray powder pattern is calculated, not measured: it uses a DFT-relaxed cell (GGA-PBE, the Materials Project) and copper Kα.
Kinematic intensities with the Lorentz-polarization factor, no thermal factor.

Main lines, low angle first (10 to 90 degrees two-theta):
two_theta	d [Å]	I/Imax	h k l
16.26	5.452	24	0 1 0
23.06	3.857	100	1 1 0
32.85	2.726	86	2 0 0
40.47	2.229	28	1 -1 2
40.58	2.223	23	2 1 1
47.17	1.927	29	2 2 0

Crystal structure
```
data_RbInCl3
_chemical_formula_sum 'Rb1 In1 Cl3'
_symmetry_space_group_name_H-M 'P 1'
_symmetry_Int_Tables_number 1
_cell_length_a 5.452
_cell_length_b 5.453
_cell_length_c 5.453
_cell_angle_alpha 90.29
_cell_angle_beta 90.14
_cell_angle_gamma 90.03
loop_
_symmetry_equiv_pos_as_xyz
'x,y,z'
loop_
_atom_site_label
_atom_site_type_symbol
_atom_site_fract_x
_atom_site_fract_y
_atom_site_fract_z
Rb1 Rb 0.000 0.000 0.000
In1 In 0.499 0.511 0.501
Cl1 Cl 0.494 0.012 0.493
Cl2 Cl 0.500 0.510 0.000
Cl3 Cl 0.998 0.513 0.502
```

(7)
Diffraction record for RbInCl3. The X-ray powder pattern is calculated, not measured: it uses a DFT-relaxed cell (GGA-PBE, the Materials Project) and copper Kα.
Kinematic intensities with the Lorentz-polarization factor, no thermal factor.

Main lines, low angle first (10 to 90 degrees two-theta):
two_theta	d [Å]	I/Imax	h k l
16.26	5.453	20	0 0 1
23.07	3.856	100	2 0 0
32.85	2.726	71	2 2 0
40.49	2.228	35	3 1 -1
47.08	1.930	24	0 4 0
47.21	1.925	24	4 0 0

Crystal structure
```
data_RbInCl3
_chemical_formula_sum 'Rb2 In2 Cl6'
_symmetry_space_group_name_H-M 'C 1 m 1'
_symmetry_Int_Tables_number 8
_cell_length_a 7.701
_cell_length_b 7.720
_cell_length_c 5.453
_cell_angle_alpha 90.00
_cell_angle_beta 90.23
_cell_angle_gamma 90.00
loop_
_symmetry_equiv_pos_as_xyz
'x,y,z'
'x,-y,z'
'x+1/2,y+1/2,z'
'x+1/2,-y+1/2,z'
loop_
_atom_site_label
_atom_site_type_symbol
_atom_site_fract_x
_atom_site_fract_y
_atom_site_fract_z
Rb1 Rb 0.000 0.000 0.000
In1 In 0.000 0.500 0.511
Cl1 Cl 0.250 0.252 0.513
Cl2 Cl 0.494 0.000 0.012
```

(8)
Diffraction record for RbInCl3. The X-ray powder pattern is calculated, not measured: it uses a DFT-relaxed cell (GGA-PBE, the Materials Project) and copper Kα.
Kinematic intensities with the Lorentz-polarization factor, no thermal factor.

Main lines, low angle first (10 to 90 degrees two-theta):
two_theta	d [Å]	I/Imax	h k l
22.68	3.921	100	2 2 0
32.28	2.773	68	4 0 0
39.82	2.264	45	4 2 2
46.31	1.961	46	4 4 0
52.16	1.754	23	6 2 0
62.68	1.482	25	6 4 2

Crystal structure
```
data_RbInCl3
_chemical_formula_sum 'Rb8 In8 Cl24'
_symmetry_space_group_name_H-M 'F m -3 m'
_symmetry_Int_Tables_number 225
_symmetry_space_group_name_Hall '-F 4 2 3'
_cell_length_a 11.092
_cell_length_b 11.092
_cell_length_c 11.092
_cell_angle_alpha 90.00
_cell_angle_beta 90.00
_cell_angle_gamma 90.00
loop_
_atom_site_label
_atom_site_type_symbol
_atom_site_fract_x
_atom_site_fract_y
_atom_site_fract_z
Rb1 Rb 0.250 0.250 0.250
In1 In 0.000 0.000 0.000
In2 In 0.000 0.000 0.500
Cl1 Cl 0.000 0.000 0.231
```

(9)
Diffraction record for RbInCl3. The X-ray powder pattern is calculated, not measured: it uses a DFT-relaxed cell (GGA-PBE, the Materials Project) and copper Kα.
Kinematic intensities with the Lorentz-polarization factor, no thermal factor.

Main lines, low angle first (10 to 90 degrees two-theta):
two_theta	d [Å]	I/Imax	h k l
23.11	3.849	100	1 0 4
32.91	2.722	63	0 2 4
40.60	2.222	54	3 0 0
47.23	1.924	38	2 0 8
53.22	1.721	20	1 2 8
64.00	1.455	26	3 2 4

Crystal structure
```
data_RbInCl3
_chemical_formula_sum 'Rb6 In6 Cl18'
_symmetry_space_group_name_H-M 'R 3 c'
_symmetry_Int_Tables_number 161
_symmetry_space_group_name_Hall 'R 3 -2"c'
_cell_length_a 7.6986
_cell_length_b 7.6986
_cell_length_c 18.8516
_cell_angle_alpha 90.00
_cell_angle_beta 90.00
_cell_angle_gamma 120.00
loop_
_atom_site_label
_atom_site_type_symbol
_atom_site_fract_x
_atom_site_fract_y
_atom_site_fract_z
Rb1 Rb 0.0000 0.0000 0.0000
In1 In 0.0000 0.0000 0.2630
Cl1 Cl 0.0023 0.4471 0.0155
```

(10)
Diffraction record for Rb2YInCl6. The X-ray powder pattern is calculated, not measured: it uses a DFT-relaxed cell (GGA-PBE, the Materials Project) and copper Kα.
Kinematic intensities with the Lorentz-polarization factor, no thermal factor.

Main lines, low angle first (10 to 90 degrees two-theta):
two_theta	d [Å]	I/Imax	h k l
22.09	4.024	100	2 2 0
31.44	2.845	75	4 0 0
38.76	2.323	45	4 2 2
45.06	2.012	50	4 4 0
50.73	1.800	24	6 2 0
60.91	1.521	26	6 4 2

Crystal structure
```
data_Rb2YInCl6
_chemical_formula_sum 'Rb8 Y4 In4 Cl24'
_symmetry_space_group_name_H-M 'F m -3 m'
_symmetry_Int_Tables_number 225
_symmetry_space_group_name_Hall '-F 4 2 3'
_cell_length_a 11.382
_cell_length_b 11.382
_cell_length_c 11.382
_cell_angle_alpha 90.00
_cell_angle_beta 90.00
_cell_angle_gamma 90.00
loop_
_atom_site_label
_atom_site_type_symbol
_atom_site_fract_x
_atom_site_fract_y
_atom_site_fract_z
Rb1 Rb 0.250 0.250 0.250
Y1 Y 0.000 0.000 0.000
In1 In 0.000 0.000 0.500
Cl1 Cl 0.000 0.000 0.232
```

(11)
Diffraction record for In2Te9RuCl8. The X-ray powder pattern is calculated, not measured: it uses a DFT-relaxed cell (GGA-PBE, the Materials Project) and copper Kα.
Kinematic intensities with the Lorentz-polarization factor, no thermal factor.

Main lines, low angle first (10 to 90 degrees two-theta):
two_theta	d [Å]	I/Imax	h k l
22.39	3.971	83	0 2 2
24.27	3.668	100	2 2 2
29.50	3.028	57	0 2 3
30.45	2.936	87	6 2 -1
31.57	2.834	75	6 0 2
34.70	2.586	54	5 3 -2

Crystal structure
```
data_In2Te9RuCl8
_chemical_formula_sum 'In8 Te36 Ru4 Cl32'
_symmetry_space_group_name_H-M 'C 1 2/c 1'
_symmetry_Int_Tables_number 15
_cell_length_a 20.918
_cell_length_b 12.209
_cell_length_c 10.475
_cell_angle_alpha 90.00
_cell_angle_beta 92.80
_cell_angle_gamma 90.00
loop_
_symmetry_equiv_pos_as_xyz
'x,y,z'
'-x,-y,-z'
'-x,y,-z+1/2'
'x,-y,z+1/2'
'x+1/2,y+1/2,z'
'-x+1/2,-y+1/2,-z'
'-x+1/2,y+1/2,-z+1/2'
'x+1/2,-y+1/2,z+1/2'
loop_
_atom_site_label
_atom_site_type_symbol
_atom_site_fract_x
_atom_site_fract_y
_atom_site_fract_z
In1 In 0.171 0.017 0.423
Te1 Te 0.000 0.203 0.250
Te2 Te 0.035 0.321 0.635
Te3 Te 0.074 0.359 0.134
Te4 Te 0.107 0.454 0.379
Te5 Te 0.151 0.355 0.767
Ru1 Ru 0.000 0.500 0.000
Cl1 Cl 0.070 0.076 0.919
Cl2 Cl 0.176 0.134 0.239
Cl3 Cl 0.186 0.145 0.597
Cl4 Cl 0.240 0.394 0.070
```